Computed PXRD pattern
Compound: Pr3ZnCo
Radiation: Cu Kα X-rays
Structure: a PBE-relaxed structure
Kinematic intensities with the Lorentz-polarization factor, no thermal factor.

Structural model:
```
10
Lattice="5.307 -3.236 0.000 5.307 3.236 0.000 -3.865 0.000 7.791" Properties=species:S:1:pos:R:3 pbc="T T T"
Pr -0.592 0.000 1.752
Pr 0.525 0.000 5.248
Pr 2.846 0.000 1.009
Pr 3.903 0.000 6.782
Pr 6.224 0.000 2.543
Pr 7.341 0.000 6.039
Zn 3.374 1.324 3.896
Zn 3.374 -1.324 3.896
Co 5.307 1.178 0.000
Co 5.307 -1.178 0.000
```

Most intense lines, 2θ from 15° to 90°, low angle first:
27.56 deg, rel. 46
30.62 deg, rel. 76
31.43 deg, rel. 64
31.61 deg, rel. 100
35.66 deg, rel. 54
36.08 deg, rel. 46

=====

Computed PXRD pattern
Compound: MnFe2Ge2
Radiation: Cu Kα X-rays
Structure: a PBE-relaxed structure
Kinematic intensities with the Lorentz-polarization factor, no thermal factor.

Structural model:
```
10
Lattice="5.029 0.000 0.000 0.000 3.912 0.000 0.000 0.000 6.788" Properties=species:S:1:pos:R:3 pbc="T T T"
Mn 0.000 0.000 0.000
Mn 2.514 0.000 0.000
Fe 0.000 1.956 3.394
Fe 1.257 1.956 1.126
Fe 2.514 1.956 3.394
Fe 3.772 1.956 5.663
Ge 1.257 0.000 2.546
Ge 1.257 1.956 5.509
Ge 3.772 0.000 4.243
Ge 3.772 1.956 1.280
```

Most intense lines, 2θ from 15° to 90°, low angle first:
31.83 deg, rel. 30
39.45 deg, rel. 11
44.88 deg, rel. 100
46.38 deg, rel. 90
66.51 deg, rel. 25
84.90 deg, rel. 14

=====

Computed PXRD pattern
Compound: Mn4C
Radiation: Cu Kα X-rays
Structure: a PBE-relaxed structure
Kinematic intensities with the Lorentz-polarization factor, no thermal factor.

Structural model:
```
10
Lattice="0.000 4.565 2.621 4.147 0.000 2.621 4.147 4.565 0.000" Properties=species:S:1:pos:R:3 pbc="T T T"
Mn 5.189 5.376 1.156
Mn 5.124 2.929 2.621
Mn 3.115 1.472 2.467
Mn 3.106 3.754 1.156
Mn 5.180 7.659 2.467
Mn 5.244 5.212 3.931
Mn 3.171 6.201 2.621
Mn 3.051 3.919 3.931
C 4.147 4.565 2.519
C 6.221 6.848 3.830
```

Most intense lines, 2θ from 15° to 90°, low angle first:
39.65 deg, rel. 26
43.65 deg, rel. 38
45.35 deg, rel. 58
45.51 deg, rel. 100
60.43 deg, rel. 18
71.72 deg, rel. 15

=====

Computed PXRD pattern
Compound: TlPd7Se2
Radiation: Cu Kα X-rays
Structure: a PBE-relaxed structure
Kinematic intensities with the Lorentz-polarization factor, no thermal factor.

Structural model:
```
10
Lattice="-2.069 2.069 10.281 2.069 -2.069 10.281 2.069 2.069 -10.281" Properties=species:S:1:pos:R:3 pbc="T T T"
Tl 0.000 0.000 0.000
Pd 2.069 0.000 2.047
Pd 2.069 0.000 5.140
Pd 2.069 0.000 8.234
Pd 0.000 0.000 10.281
Pd 0.000 2.069 2.047
Pd 0.000 2.069 5.140
Pd 0.000 2.069 8.234
Se 0.000 0.000 6.732
Se 0.000 0.000 13.829
```

Most intense lines, 2θ from 15° to 90°, low angle first:
25.13 deg, rel. 20
31.79 deg, rel. 16
35.29 deg, rel. 20
40.53 deg, rel. 100
43.74 deg, rel. 47
78.17 deg, rel. 29

=====

Computed PXRD pattern
Compound: Ac2Tl2Pt15
Radiation: Cu Kα X-rays
Structure: a PBE-relaxed structure
Kinematic intensities with the Lorentz-polarization factor, no thermal factor.

Structural model:
```
19
Lattice="4.799 2.771 4.506 -4.799 2.771 4.506 0.000 -5.541 4.506" Properties=species:S:1:pos:R:3 pbc="T T T"
Ac 0.000 0.000 2.006
Ac 0.000 0.000 11.512
Tl 0.000 0.000 5.346
Tl 0.000 0.000 8.172
Pt -2.399 -1.385 4.506
Pt 0.000 -2.820 4.424
Pt -2.443 1.410 4.424
Pt -1.534 -2.656 6.759
Pt -3.067 0.000 6.759
Pt -2.443 -1.410 9.094
Pt -2.399 1.385 9.012
Pt 1.534 -2.656 6.759
Pt 0.000 2.771 4.506
Pt -1.534 2.656 6.759
Pt 2.443 1.410 4.424
Pt 3.067 0.000 6.759
Pt 1.534 2.656 6.759
Pt 2.443 -1.410 9.094
Pt 0.000 2.820 9.094
```

Most intense lines, 2θ from 15° to 90°, low angle first:
32.31 deg, rel. 39
37.48 deg, rel. 55
38.13 deg, rel. 100
40.02 deg, rel. 32
42.69 deg, rel. 77
67.63 deg, rel. 32

=====

Computed PXRD pattern
Compound: Cs2S13
Radiation: Cu Kα X-rays
Structure: a PBE-relaxed structure
Kinematic intensities with the Lorentz-polarization factor, no thermal factor.

Structural model:
```
15
Lattice="4.265 2.462 7.934 -4.265 2.462 7.934 0.000 -4.925 7.934" Properties=species:S:1:pos:R:3 pbc="T T T"
Cs 0.000 0.000 3.271
Cs 0.000 0.000 20.532
S 0.000 0.000 0.000
S -1.648 -0.951 10.019
S 0.000 -1.949 9.163
S -1.688 0.975 9.163
S -1.688 -0.975 14.639
S 0.000 -1.903 13.784
S -1.648 0.951 13.784
S 1.648 -0.951 10.019
S 0.000 1.903 10.019
S 1.688 0.975 9.163
S 1.688 -0.975 14.639
S 0.000 1.949 14.639
S 1.648 0.951 13.784
```

Most intense lines, 2θ from 15° to 90°, low angle first:
19.15 deg, rel. 100
20.83 deg, rel. 38
23.68 deg, rel. 51
24.39 deg, rel. 50
28.91 deg, rel. 37
32.28 deg, rel. 54

=====

Computed PXRD pattern
Compound: MgBeNb2
Radiation: Cu Kα X-rays
Structure: a PBE-relaxed structure
Kinematic intensities with the Lorentz-polarization factor, no thermal factor.

Structural model:
```
4
Lattice="0.000 3.179 3.179 3.179 0.000 3.179 3.179 3.179 0.000" Properties=species:S:1:pos:R:3 pbc="T T T"
Mg 0.000 0.000 0.000
Be 3.179 3.179 3.179
Nb 1.589 1.589 1.589
Nb 4.768 4.768 4.768
```

Most intense lines, 2θ from 15° to 90°, low angle first:
28.07 deg, rel. 68
40.12 deg, rel. 100
49.68 deg, rel. 18
58.03 deg, rel. 16
65.68 deg, rel. 23
72.89 deg, rel. 33

=====

Computed PXRD pattern
Compound: La2Dy5Tm12
Radiation: Cu Kα X-rays
Structure: a PBE-relaxed structure
Kinematic intensities with the Lorentz-polarization factor, no thermal factor.

Structural model:
```
19
Lattice="6.216 0.000 0.000 -1.481 8.641 0.000 -0.501 -4.302 11.099" Properties=species:S:1:pos:R:3 pbc="T T T"
La 0.493 2.108 4.613
La 3.741 2.231 6.485
Dy -0.679 5.140 5.712
Dy 0.548 7.179 0.129
Dy 2.368 4.320 0.000
Dy 3.687 -2.841 10.970
Dy 4.914 -0.801 5.386
Tm -0.679 4.439 1.915
Tm 0.668 -2.965 9.222
Tm 0.936 1.392 1.455
Tm 0.420 2.720 7.962
Tm 1.875 -1.154 3.601
Tm 1.716 -0.421 7.256
Tm 2.518 4.760 3.843
Tm 2.359 5.492 7.498
Tm 3.814 1.619 3.136
Tm 3.299 2.946 9.644
Tm 3.566 7.304 1.876
Tm 4.914 -0.101 9.183
```

Most intense lines, 2θ from 15° to 90°, low angle first:
29.59 deg, rel. 50
31.32 deg, rel. 100
32.40 deg, rel. 72
32.62 deg, rel. 73
32.91 deg, rel. 71
33.02 deg, rel. 66

=====

Computed PXRD pattern
Compound: LiEuCd
Radiation: Cu Kα X-rays
Structure: a PBE-relaxed structure
Kinematic intensities with the Lorentz-polarization factor, no thermal factor.

Structural model:
```
3
Lattice="5.073 0.000 0.000 -2.537 4.394 0.000 0.000 0.000 3.697" Properties=species:S:1:pos:R:3 pbc="T T T"
Li 0.000 0.000 0.000
Eu 2.537 1.465 1.848
Cd 0.000 2.929 0.000
```

Most intense lines, 2θ from 15° to 90°, low angle first:
20.21 deg, rel. 48
31.63 deg, rel. 100
35.38 deg, rel. 51
48.18 deg, rel. 30
61.18 deg, rel. 29
62.13 deg, rel. 19

=====

Computed PXRD pattern
Compound: SrICl2
Radiation: Cu Kα X-rays
Structure: a PBE-relaxed structure
Kinematic intensities with the Lorentz-polarization factor, no thermal factor.

Structural model:
```
8
Lattice="4.583 0.000 0.000 -0.023 7.824 0.000 -2.067 -3.736 9.428" Properties=species:S:1:pos:R:3 pbc="T T T"
Sr 0.104 0.159 4.315
Sr 2.389 3.930 5.113
I 0.023 6.825 0.933
I 2.470 -2.737 8.495
Cl 0.096 5.072 3.573
Cl 0.099 2.433 6.159
Cl 2.394 1.655 3.269
Cl 2.397 -0.983 5.855
```

Most intense lines, 2θ from 15° to 90°, low angle first:
19.84 deg, rel. 56
20.05 deg, rel. 57
22.49 deg, rel. 100
29.39 deg, rel. 98
37.06 deg, rel. 55
39.33 deg, rel. 48